# Li7V5O12
Simulated X-ray powder pattern, Cu Kα (λ = 1.5418 Å). Input: a crystal structure in Alexandria, relaxed with PBE+U.
Lines closer than 0.1° are merged.

Principal peaks in the range 10 to 80 degrees two-theta, most intense first:
d/Å  2θ (°)  I (rel.)
4.238  21.0  100.0
2.050  44.2  88.8
3.218  27.7  51.6
2.163  41.8  51.5
1.497  62.0  27.8
1.480  62.8  24.4
1.450  64.2  23.6
1.637  56.2  16.2
1.205  79.6  11.2
2.461  36.5  10.3

Structure:
```
Li7V5O12
1.0
2.6237 -4.3508 0.0000
2.6237 4.3508 0.0000
-1.3146 0.0000 9.5624
Li V O
7 5 12
Direct
0.0000 0.0000 0.0000
0.2352 0.2535 0.7546
0.3199 0.6801 0.0000
0.4015 0.0605 0.2428
0.7465 0.7648 0.2454
0.8362 0.1638 0.5000
0.9395 0.5985 0.7572
0.0831 0.4071 0.2387
0.1650 0.8350 0.5000
0.5068 0.4932 0.5000
0.5929 0.9169 0.7613
0.6550 0.3450 0.0000
0.0124 0.6751 0.1223
0.1447 0.1459 0.3780
0.2426 0.5702 0.6288
0.3249 0.9876 0.8777
0.3544 0.3806 0.1284
0.4298 0.7574 0.3712
0.5211 0.1754 0.6196
0.6194 0.6456 0.8716
0.7291 0.0868 0.1335
0.8246 0.4789 0.3804
0.8541 0.8553 0.6220
0.9132 0.2709 0.8665
```